(1)
# Ho2MgV2O7
Calculated powder X-ray diffraction pattern, Cu Kα. Input: a cell relaxed with GGA+U.
Neutral-atom scattering factors, no anomalous dispersion.

Structure:
a = 6.658 Å, b = 9.703 Å, c = 5.518 Å
α = 90.00°, β = 97.54°, γ = 90.00°
Space group Cm (No. 8)
Inequivalent atoms, fractional coordinates:
Ho (0.000, 0.180, 0.000) (multiplicity 4)
Mg (0.450, 0.000, 0.091) (multiplicity 2)
V (0.248, 0.000, 0.597) (multiplicity 2)
V (0.280, 0.500, 0.403) (multiplicity 2)
O (0.073, 0.000, 0.270) (multiplicity 2)
O (0.204, 0.351, 0.168) (multiplicity 4)
O (0.306, 0.143, 0.862) (multiplicity 4)
O (0.444, 0.500, 0.725) (multiplicity 2)
O (0.488, 0.000, 0.458) (multiplicity 2)

Principal peaks in the range 10° ≤ 2θ ≤ 80°, by angle:
2θ/deg	I (rel.)	h k l
16.21	100	0 0 1
24.53	62	0 2 1
29.72	36	2 0 -1
30.79	34	1 3 0
32.78	35	0 0 2
34.11	29	1 3 -1
35.83	28	1 3 1
46.93	31	1 3 2


(2)
# LiV3Zn2O8
Calculated powder X-ray diffraction pattern, Cu Kα. Input: a cell relaxed with GGA+U.
Neutral-atom scattering factors, no anomalous dispersion.

Structure:
a = 5.969 Å, b = 5.980 Å, c = 10.332 Å
α = 90.24°, β = 106.40°, γ = 119.93°
Space group P-1 (No. 2)
Inequivalent atoms, fractional coordinates:
Li (0.000, 0.000, 0.000) (multiplicity 1)
Li (0.000, 0.500, 0.500) (multiplicity 1)
V (0.000, 0.000, 0.500) (multiplicity 1)
V (0.000, 0.500, 0.000) (multiplicity 1)
V (0.001, 0.251, 0.250) (multiplicity 2)
V (0.500, 0.000, 0.000) (multiplicity 1)
V (0.500, 0.500, 0.500) (multiplicity 1)
Zn (0.378, 0.929, 0.310) (multiplicity 2)
Zn (0.379, 0.429, 0.809) (multiplicity 2)
O (0.214, 0.368, 0.130) (multiplicity 2)
O (0.215, 0.872, 0.628) (multiplicity 2)
O (0.230, 0.127, 0.374) (multiplicity 2)
O (0.233, 0.344, 0.606) (multiplicity 2)
O (0.244, 0.589, 0.373) (multiplicity 2)
O (0.250, 0.091, 0.875) (multiplicity 2)
O (0.250, 0.646, 0.875) (multiplicity 2)
O (0.259, 0.868, 0.106) (multiplicity 2)

Principal peaks in the range 10° ≤ 2θ ≤ 80°, by angle:
2θ/deg	I (rel.)	h k l
18.20	26	-1 1 1
29.87	44	1 -2 0
29.97	48	-2 1 1
35.15	100	1 1 1
35.27	55	1 1 -3
52.98	15	3 -1 1
56.47	27	3 -3 1
62.08	35	0 2 -6


(3)
# Mn2OF3
Calculated powder X-ray diffraction pattern, Cu Kα. Input: a cell relaxed with GGA+U.
Neutral-atom scattering factors, no anomalous dispersion.

Structure:
a = 15.913 Å, b = 7.104 Å, c = 6.703 Å
α = 90.00°, β = 90.00°, γ = 90.00°
Space group Amm2 (No. 38)
Inequivalent atoms, fractional coordinates:
Mn (0.000, 0.000, 0.000) (multiplicity 2)
Mn (0.100, 0.000, 0.531) (multiplicity 4)
Mn (0.199, 0.000, 0.059) (multiplicity 4)
Mn (0.300, 0.000, 0.524) (multiplicity 4)
Mn (0.399, 0.000, 0.051) (multiplicity 4)
Mn (0.500, 0.000, 0.516) (multiplicity 2)
O (0.000, 0.000, 0.701) (multiplicity 2)
O (0.198, 0.000, 0.356) (multiplicity 4)
O (0.398, 0.000, 0.343) (multiplicity 4)
F (0.000, 0.000, 0.316) (multiplicity 2)
F (0.100, 0.202, 0.031) (multiplicity 8)
F (0.204, 0.000, 0.742) (multiplicity 4)
F (0.300, 0.195, 0.042) (multiplicity 8)
F (0.399, 0.000, 0.735) (multiplicity 4)
F (0.500, 0.194, 0.038) (multiplicity 4)

Principal peaks in the range 10° ≤ 2θ ≤ 80°, by angle:
2θ/deg	I (rel.)	h k l
25.07	100	0 2 0
26.60	90	0 0 2
33.63	97	5 1 1
37.96	20	5 2 0
49.89	67	5 3 1
51.45	21	0 4 0
51.61	51	5 1 3
64.37	43	5 3 3